# AcY5Ag6
Computed PXRD pattern, copper Kα. Input: a crystal structure in Alexandria, relaxed with PBE.
Kinematic intensities with the Lorentz-polarization factor, no thermal factor.

Structure:
```
AcY5Ag6
1.0
-2.627 3.663 7.903
2.627 -3.663 7.903
2.627 3.663 -7.903
Ac Y Ag
1 5 6
direct
0.000 0.000 0.000 Ac
0.166 0.666 0.500 Y
0.331 0.331 0.000 Y
0.500 0.000 0.500 Y
0.669 0.669 0.000 Y
0.834 0.334 0.500 Y
0.089 0.827 0.262 Ag
0.275 0.500 0.775 Ag
0.435 0.173 0.262 Ag
0.565 0.827 0.738 Ag
0.725 0.500 0.225 Ag
0.911 0.173 0.738 Ag
```

Main lines, in order of falling intensity (2θ = 15–90°):
two_theta	d [Å]	intensity
34.36	2.610	100
34.08	2.631	52
48.96	1.860	18
61.24	1.514	18
61.12	1.516	18
61.71	1.503	16
82.00	1.175	12
72.41	1.305	10